# 1
Diffraction record for Li6V2O5F2. The X-ray diffraction stick pattern is theoretical, not measured: it uses a cell relaxed with PBE+U and Cu Kα (λ = 1.5418 Å).
Peak positions follow from Bragg's law for the DFT cell and can differ from measured ones.

Most intense lines, 2θ from 5° to 70°, in order of falling intensity:
Position (°2θ)  Rel. int.
17.4  100
18.7  57
43.6  56
42.8  55
42.4  55
19.1  48
24.3  30
27.4  29
61.6  24
23.7  22

Structure:
a = 5.8902 Å, b = 5.9098 Å, c = 9.9969 Å
α = 98.20°, β = 91.37°, γ = 119.03°
Space group P-1 (No. 2)
Inequivalent atoms, fractional coordinates:
Li1 0.0231 0.3580 0.3952 (multiplicity 2)
Li2 0.1604 0.0831 0.1068 (multiplicity 2)
Li3 0.1872 0.6334 0.0916 (multiplicity 2)
Li4 0.2975 0.3648 0.9118 (multiplicity 2)
Li5 0.4086 0.6110 0.5748 (multiplicity 2)
Li6 0.4188 0.0900 0.6033 (multiplicity 2)
V1 0.0505 0.8780 0.3748 (multiplicity 2)
V2 0.3012 0.8842 0.8768 (multiplicity 2)
O1 0.0008 0.2607 0.0258 (multiplicity 2)
O2 0.1549 0.0290 0.7502 (multiplicity 2)
O3 0.2351 0.2294 0.4896 (multiplicity 2)
O4 0.2382 0.7430 0.4702 (multiplicity 2)
O5 0.4994 0.7636 0.9869 (multiplicity 2)
F1 0.1705 0.5199 0.7351 (multiplicity 2)
F2 0.3509 0.9712 0.2371 (multiplicity 2)


# 2
Diffraction record for Li2VO2F2. The X-ray diffraction stick pattern is theoretical, not measured: it uses a cell relaxed with PBE+U and Cu Kα (λ = 1.5418 Å).
Peak positions follow from Bragg's law for the DFT cell and can differ from measured ones.

Most intense lines, 2θ from 5° to 70°, in order of falling intensity:
Position (°2θ)  Rel. int.
43.5  100
15.0  59
23.8  50
26.2  38
24.0  37
18.4  35
63.4  25
62.9  15
35.8  13
50.2  9

Structure:
a = 5.1185 Å, b = 5.8980 Å, c = 5.0745 Å
α = 90.00°, β = 109.66°, γ = 90.00°
Space group P2/c (No. 13)
Inequivalent atoms, fractional coordinates:
Li1 0.0000 0.1053 0.2500 (multiplicity 2)
Li2 0.0000 0.3673 0.7500 (multiplicity 2)
V1 0.5000 0.3826 0.2500 (multiplicity 2)
O1 0.2775 0.3956 0.4750 (multiplicity 4)
F1 0.2263 0.1476 0.0174 (multiplicity 4)


# 3
Diffraction record for LiVOF3. The X-ray diffraction stick pattern is theoretical, not measured: it uses a cell relaxed with PBE+U and Cu Kα (λ = 1.5418 Å).
Peak positions follow from Bragg's law for the DFT cell and can differ from measured ones.

Most intense lines, 2θ from 5° to 70°, in order of falling intensity:
Position (°2θ)  Rel. int.
24.4  100
18.5  86
24.6  67
46.2  60
33.7  42
52.9  33
37.5  31
53.2  31
22.8  22
29.4  19

Structure:
a = 5.5255 Å, b = 5.5255 Å, c = 9.6963 Å
α = 90.00°, β = 90.00°, γ = 90.00°
Space group P4_1 (No. 76)
Inequivalent atoms, fractional coordinates:
Li1 0.1147 0.8541 0.0000 (multiplicity 4)
V1 0.1423 0.4021 0.7506 (multiplicity 4)
O1 0.0903 0.6559 0.8344 (multiplicity 4)
F1 0.0270 0.8331 0.3719 (multiplicity 4)
F2 0.1327 0.6107 0.1363 (multiplicity 4)
F3 0.3089 0.5444 0.5864 (multiplicity 4)